The following is a simulated PXRD pattern of K2AsRh2. It was derived from a cell relaxed with PBE, using Cu Kα (λ = 1.5418 Å).

Crystal structure
a b c (Å): 6.3258 6.3258 5.5987
angles (deg): 90.00 90.00 90.00
Space group P4/mbm (No. 127)
One atom of each set of equivalent atoms:
K  0.1769  0.3231  0.0000 x4
As  0.0000  0.0000  0.5000 x2
Rh  0.1472  0.6472  0.5000 x4

Most intense lines, 2θ from 15° to 90°, most intense first:
2θ = 35.55°, intensity 100; 2θ = 15.83°, intensity 81; 2θ = 31.97°, intensity 48; 2θ = 56.55°, intensity 28; 2θ = 45.33°, intensity 27; 2θ = 48.31°, intensity 23; 2θ = 59.32°, intensity 21; 2θ = 31.63°, intensity 15; 2θ = 45.59°, intensity 12; 2θ = 84.22°, intensity 10